No. 1
Mn3NiO8: calculated powder XRD pattern (λ = 1.5418 Å (Cu Kα)), based on a crystal structure in Alexandria, relaxed with GGA+U.
No peak broadening, texture or thermal motion is included.

```
data_Mn3NiO8
_chemical_formula_sum 'Mn3 Ni1 O8'
_space_group_name_H-M_alt 'P 1'
_space_group_IT_number 1
_space_group_name_Hall 'P 1'
_cell_length_a 5.927
_cell_length_b 5.927
_cell_length_c 5.927
_cell_angle_alpha 58.70
_cell_angle_beta 58.70
_cell_angle_gamma 58.70
loop_
_atom_site_label
_atom_site_fract_x
_atom_site_fract_y
_atom_site_fract_z
_atom_site_occupancy
Mn1 0.000 0.500 0.500 1
Mn2 0.500 0.000 0.500 1
Mn3 0.500 0.500 0.000 1
Ni1 0.000 0.000 0.000 1
O1 0.229 0.229 0.737 1
O2 0.229 0.737 0.229 1
O3 0.263 0.771 0.771 1
O4 0.268 0.268 0.268 1
O5 0.732 0.732 0.732 1
O6 0.737 0.229 0.229 1
O7 0.771 0.263 0.771 1
O8 0.771 0.771 0.263 1
```

The 6 most intense peaks (10 to 80 degrees two-theta), sorted by position:
- d 4.886, intensity 100
- d 2.480, intensity 30
- d 2.074, intensity 43
- d 1.609, intensity 15
- d 1.453, intensity 12
- d 1.392, intensity 13

No. 2
Mn2NiO14: calculated powder XRD pattern (λ = 1.5418 Å (Cu Kα)), based on a crystal structure in Alexandria, relaxed with GGA+U.
No peak broadening, texture or thermal motion is included.

```
data_Mn2NiO14
_chemical_formula_sum 'Mn2 Ni1 O14'
_space_group_name_H-M_alt 'P 1'
_space_group_IT_number 1
_space_group_name_Hall 'P 1'
_cell_length_a 7.868
_cell_length_b 7.868
_cell_length_c 4.452
_cell_angle_alpha 90.00
_cell_angle_beta 90.00
_cell_angle_gamma 120.00
loop_
_atom_site_label
_atom_site_fract_x
_atom_site_fract_y
_atom_site_fract_z
_atom_site_occupancy
Mn1 0.000 0.000 0.000 1
Mn2 0.333 0.667 0.496 1
Ni1 0.667 0.333 0.199 1
O1 0.000 0.000 0.364 1
O2 0.113 0.226 0.888 1
O3 0.113 0.887 0.888 1
O4 0.220 0.441 0.384 1
O5 0.220 0.780 0.384 1
O6 0.333 0.667 0.861 1
O7 0.469 0.234 0.490 1
O8 0.559 0.780 0.384 1
O9 0.567 0.135 0.908 1
O10 0.567 0.433 0.908 1
O11 0.766 0.234 0.490 1
O12 0.766 0.531 0.490 1
O13 0.774 0.887 0.888 1
O14 0.865 0.433 0.908 1
```

The 6 most intense peaks (10 to 80 degrees two-theta), sorted by position:
- d 3.934, intensity 100
- d 3.727, intensity 45
- d 2.706, intensity 29
- d 2.229, intensity 21
- d 1.740, intensity 18
- d 1.684, intensity 15

No. 3
MnNiO4: calculated powder XRD pattern (λ = 1.5418 Å (Cu Kα)), based on a crystal structure in Alexandria, relaxed with GGA+U.
No peak broadening, texture or thermal motion is included.

```
data_MnNiO4
_chemical_formula_sum 'Mn1 Ni1 O4'
_space_group_name_H-M_alt 'P 1'
_space_group_IT_number 1
_space_group_name_Hall 'P 1'
_cell_length_a 5.296
_cell_length_b 5.296
_cell_length_c 5.296
_cell_angle_alpha 138.16
_cell_angle_beta 138.16
_cell_angle_gamma 60.66
loop_
_atom_site_label
_atom_site_fract_x
_atom_site_fract_y
_atom_site_fract_z
_atom_site_occupancy
Mn1 0.000 0.000 0.000 1
Ni1 0.250 0.750 0.500 1
O1 0.040 0.540 0.500 1
O2 0.209 0.209 0.000 1
O3 0.460 0.960 0.500 1
O4 0.791 0.791 0.000 1
```

The 6 most intense peaks (10 to 80 degrees two-theta), sorted by position:
- d 3.495, intensity 100
- d 2.285, intensity 19
- d 1.891, intensity 28
- d 1.663, intensity 20
- d 1.646, intensity 16
- d 1.457, intensity 15

No. 4
Mn4NiO8: calculated powder XRD pattern (λ = 1.5418 Å (Cu Kα)), based on a crystal structure in Alexandria, relaxed with GGA+U.
No peak broadening, texture or thermal motion is included.

```
data_Mn4NiO8
_chemical_formula_sum 'Mn4 Ni1 O8'
_space_group_name_H-M_alt 'P 1'
_space_group_IT_number 1
_space_group_name_Hall 'P 1'
_cell_length_a 5.732
_cell_length_b 5.732
_cell_length_c 6.942
_cell_angle_alpha 123.22
_cell_angle_beta 123.22
_cell_angle_gamma 60.71
loop_
_atom_site_label
_atom_site_fract_x
_atom_site_fract_y
_atom_site_fract_z
_atom_site_occupancy
Mn1 0.229 0.229 0.495 1
Mn2 0.247 0.753 0.000 1
Mn3 0.753 0.247 0.000 1
Mn4 0.771 0.771 0.505 1
Ni1 0.500 0.500 0.500 1
O1 0.003 0.003 0.813 1
O2 0.063 0.524 0.360 1
O3 0.476 0.937 0.640 1
O4 0.483 0.483 0.795 1
O5 0.517 0.517 0.205 1
O6 0.524 0.063 0.360 1
O7 0.937 0.476 0.640 1
O8 0.997 0.997 0.187 1
```

The 6 most intense peaks (10 to 80 degrees two-theta), sorted by position:
- d 4.921, intensity 100
- d 2.681, intensity 26
- d 2.549, intensity 46
- d 2.460, intensity 34
- d 2.220, intensity 35
- d 1.730, intensity 47

No. 5
Mn2NiO14: calculated powder XRD pattern (λ = 1.5418 Å (Cu Kα)), based on a crystal structure in Alexandria, relaxed with GGA+U.
No peak broadening, texture or thermal motion is included.

```
data_Mn2NiO14
_chemical_formula_sum 'Mn2 Ni1 O14'
_space_group_name_H-M_alt 'P 1'
_space_group_IT_number 1
_space_group_name_Hall 'P 1'
_cell_length_a 8.089
_cell_length_b 8.089
_cell_length_c 4.415
_cell_angle_alpha 91.61
_cell_angle_beta 91.61
_cell_angle_gamma 58.70
loop_
_atom_site_label
_atom_site_fract_x
_atom_site_fract_y
_atom_site_fract_z
_atom_site_occupancy
Mn1 0.000 0.000 0.000 1
Mn2 0.703 0.703 0.572 1
Ni1 0.363 0.363 0.287 1
O1 0.048 0.048 0.673 1
O2 0.168 0.469 0.991 1
O3 0.200 0.868 0.183 1
O4 0.254 0.560 0.579 1
O5 0.267 0.267 0.569 1
O6 0.459 0.459 0.001 1
O7 0.469 0.168 0.991 1
O8 0.508 0.840 0.756 1
O9 0.560 0.254 0.579 1
O10 0.647 0.647 0.248 1
O11 0.819 0.819 0.510 1
O12 0.840 0.508 0.756 1
O13 0.868 0.200 0.183 1
O14 0.883 0.883 0.957 1
```

The 6 most intense peaks (10 to 80 degrees two-theta), sorted by position:
- d 7.047, intensity 16
- d 4.042, intensity 100
- d 3.965, intensity 49
- d 3.746, intensity 39
- d 3.687, intensity 25
- d 2.700, intensity 29

No. 6
MnNi3O6: calculated powder XRD pattern (λ = 1.5418 Å (Cu Kα)), based on a crystal structure in Alexandria, relaxed with GGA+U.
No peak broadening, texture or thermal motion is included.

```
data_MnNi3O6
_chemical_formula_sum 'Mn2 Ni6 O12'
_space_group_name_H-M_alt 'P 1'
_space_group_IT_number 1
_space_group_name_Hall 'P 1'
_cell_length_a 4.973
_cell_length_b 5.138
_cell_length_c 9.031
_cell_angle_alpha 90.00
_cell_angle_beta 122.61
_cell_angle_gamma 90.00
loop_
_atom_site_label
_atom_site_fract_x
_atom_site_fract_y
_atom_site_fract_z
_atom_site_occupancy
Mn1 0.000 0.000 0.000 1
Mn2 0.000 0.500 0.500 1
Ni1 0.303 0.061 0.799 1
Ni2 0.303 0.439 0.299 1
Ni3 0.500 0.000 0.500 1
Ni4 0.500 0.500 0.000 1
Ni5 0.697 0.561 0.701 1
Ni6 0.697 0.939 0.201 1
O1 0.086 0.093 0.229 1
O2 0.086 0.407 0.729 1
O3 0.298 0.701 0.106 1
O4 0.298 0.799 0.606 1
O5 0.368 0.182 0.042 1
O6 0.368 0.318 0.542 1
O7 0.632 0.682 0.458 1
O8 0.632 0.818 0.958 1
O9 0.702 0.201 0.394 1
O10 0.702 0.299 0.894 1
O11 0.914 0.593 0.271 1
O12 0.914 0.907 0.771 1
```

The 6 most intense peaks (10 to 80 degrees two-theta), sorted by position:
- d 2.617, intensity 100
- d 2.591, intensity 85
- d 2.569, intensity 36
- d 2.486, intensity 42
- d 1.786, intensity 44
- d 1.450, intensity 26

What did the first record say?
Mn3NiO8: calculated powder XRD pattern (λ = 1.5418 Å (Cu Kα)), based on a crystal structure in Alexandria, relaxed with GGA+U.
No peak broadening, texture or thermal motion is included.

```
data_Mn3NiO8
_chemical_formula_sum 'Mn3 Ni1 O8'
_space_group_name_H-M_alt 'P 1'
_space_group_IT_number 1
_space_group_name_Hall 'P 1'
_cell_length_a 5.927
_cell_length_b 5.927
_cell_length_c 5.927
_cell_angle_alpha 58.70
_cell_angle_beta 58.70
_cell_angle_gamma 58.70
loop_
_atom_site_label
_atom_site_fract_x
_atom_site_fract_y
_atom_site_fract_z
_atom_site_occupancy
Mn1 0.000 0.500 0.500 1
Mn2 0.500 0.000 0.500 1
Mn3 0.500 0.500 0.000 1
Ni1 0.000 0.000 0.000 1
O1 0.229 0.229 0.737 1
O2 0.229 0.737 0.229 1
O3 0.263 0.771 0.771 1
O4 0.268 0.268 0.268 1
O5 0.732 0.732 0.732 1
O6 0.737 0.229 0.229 1
O7 0.771 0.263 0.771 1
O8 0.771 0.771 0.263 1
```

The 6 most intense peaks (10 to 80 degrees two-theta), sorted by position:
- d 4.886, intensity 100
- d 2.480, intensity 30
- d 2.074, intensity 43
- d 1.609, intensity 15
- d 1.453, intensity 12
- d 1.392, intensity 13